Structure and simulated PXRD pattern of CsAgSe2 (a GGA-PBE-relaxed structure; Cu Kα (weighted mean of Kα1 and Kα2)).
Neutral-atom scattering factors, no anomalous dispersion.

Principal peaks in the range 2θ = 10–90°, by angle:
hkl 1 1 -1, 4.965 Å, 17.86°, intensity 282
hkl 2 0 0, 3.444 Å, 25.87°, intensity 341
hkl 0 2 1, 3.428 Å, 26.00°, intensity 1000
hkl 2 0 -2, 3.418 Å, 26.07°, intensity 345
hkl 1 1 -3, 3.387 Å, 26.31°, intensity 308
hkl 0 0 4, 2.862 Å, 31.25°, intensity 485
hkl 2 2 -1, 2.543 Å, 35.29°, intensity 854
hkl 2 2 3, 1.910 Å, 47.61°, intensity 301
hkl 2 2 -5, 1.892 Å, 48.09°, intensity 282
hkl 0 4 0, 1.798 Å, 50.77°, intensity 295

Structure:
Lattice parameters (Å, degrees): 7.193 7.193 11.955 90.00 106.73 90.00
Space group Cc (No. 9)
Inequivalent atoms, fractional coordinates:
Cs: 0.000 0.125 0.000 x4
Ag: 0.109 0.375 0.718 x4
Se: 0.381 0.125 0.765 x4
Se: 0.489 0.125 0.979 x4